[1]
# AcTb8Pm3
Theoretical XRD peak list, copper Kα. Input: a PBE-relaxed structure.

Structure:
```
data_AcTb8Pm3
_chemical_formula_sum 'Ac2 Tb16 Pm6'
_space_group_name_H-M_alt 'I m m m'
_space_group_IT_number 71
_space_group_name_Hall '-I 2 2'
_cell_length_a 6.409
_cell_length_b 11.554
_cell_length_c 11.753
_cell_angle_alpha 90.00
_cell_angle_beta 90.00
_cell_angle_gamma 90.00
loop_
_atom_site_label
_atom_site_type_symbol
_atom_site_fract_x
_atom_site_fract_y
_atom_site_fract_z
Ac1 Ac 0.000 0.000 0.000
Tb1 Tb 0.000 0.251 0.177
Tb2 Tb 0.246 0.000 0.260
Pm1 Pm 0.000 0.241 0.500
Pm2 Pm 0.000 0.500 0.000
```

Principal peaks in the range 15 to 90 degrees two-theta, sorted by position:
- 2θ 15.75, rel. 13, hkl 1 0 1
- 2θ 22.05, rel. 13, hkl 1 2 1
- 2θ 30.42, rel. 12, hkl 0 0 4
- 2θ 30.93, rel. 100, hkl 0 4 0
- 2θ 31.81, rel. 15, hkl 2 0 2
- 2θ 31.94, rel. 25, hkl 2 2 0
- 2θ 35.49, rel. 32, hkl 2 2 2
- 2θ 51.21, rel. 15, hkl 3 2 3
- 2θ 54.99, rel. 26, hkl 2 0 6
- 2θ 64.41, rel. 16, hkl 2 4 6



[2]
# Ac3Tb3Pm2
Theoretical XRD peak list, copper Kα. Input: a PBE-relaxed structure.

Structure:
```
data_Ac3Tb3Pm2
_chemical_formula_sum 'Ac6 Tb6 Pm4'
_space_group_name_H-M_alt 'P 63/m c m'
_space_group_IT_number 193
_space_group_name_Hall '-P 6c 2'
_cell_length_a 10.1545
_cell_length_b 10.1545
_cell_length_c 6.8091
_cell_angle_alpha 90.00
_cell_angle_beta 90.00
_cell_angle_gamma 120.00
loop_
_atom_site_label
_atom_site_type_symbol
_atom_site_fract_x
_atom_site_fract_y
_atom_site_fract_z
Ac1 Ac 0.0000 0.2337 0.2500
Tb1 Tb 0.0000 0.4136 0.7500
Pm1 Pm 0.3333 0.6667 0.0000
```

Principal peaks in the range 15 to 90 degrees two-theta, sorted by position:
- 2θ 26.17, rel. 17, hkl 0 0 2
- 2θ 26.82, rel. 29, hkl 2 1 0
- 2θ 29.91, rel. 100, hkl 2 1 1
- 2θ 30.50, rel. 16, hkl 3 0 0
- 2θ 31.64, rel. 40, hkl 1 1 2
- 2θ 48.57, rel. 27, hkl 2 1 3
- 2θ 49.34, rel. 15, hkl 4 0 2
- 2θ 55.99, rel. 13, hkl 3 3 1
- 2θ 59.12, rel. 17, hkl 5 0 2
- 2θ 61.16, rel. 14, hkl 3 3 2



[3]
# Ac6Tb2Pm
Theoretical XRD peak list, copper Kα. Input: a PBE-relaxed structure.

Structure:
```
data_Ac6Tb2Pm
_chemical_formula_sum 'Ac12 Tb4 Pm2'
_space_group_name_H-M_alt 'P -1'
_space_group_IT_number 2
_cell_length_a 7.748
_cell_length_b 9.428
_cell_length_c 10.226
_cell_angle_alpha 89.21
_cell_angle_beta 78.79
_cell_angle_gamma 89.76
loop_
_space_group_symop_operation_xyz
'x,y,z'
'-x,-y,-z'
loop_
_atom_site_label
_atom_site_type_symbol
_atom_site_fract_x
_atom_site_fract_y
_atom_site_fract_z
Ac1 Ac 0.025 0.327 0.394
Ac2 Ac 0.083 0.997 0.171
Ac3 Ac 0.190 0.339 0.727
Ac4 Ac 0.360 0.336 0.055
Ac5 Ac 0.420 0.002 0.825
Ac6 Ac 0.473 0.670 0.608
Tb1 Tb 0.250 0.997 0.497
Tb2 Tb 0.306 0.665 0.278
Pm1 Pm 0.139 0.669 0.947
```

Principal peaks in the range 15 to 90 degrees two-theta, sorted by position:
- 2θ 28.20, rel. 50, hkl 0 1 3
- 2θ 28.32, rel. 100, hkl 2 1 -1
- 2θ 28.40, rel. 50, hkl 0 3 0
- 2θ 32.57, rel. 35, hkl 2 2 2
- 2θ 32.78, rel. 35, hkl -2 2 1
- 2θ 33.05, rel. 33, hkl 0 2 -3
- 2θ 46.90, rel. 39, hkl 4 0 1
- 2θ 47.30, rel. 25, hkl 2 4 -1
- 2θ 55.44, rel. 16, hkl 4 1 4
- 2θ 55.65, rel. 16, hkl 4 3 1